# SbRh
Simulated powder diffractogram, Cu Kα. Input: DFT lattice parameters and positions (GGA-PBE).
Intensities are scaled so that the largest is 100.

Structure:
```
data_SbRh
_cell_length_a 8.9140
_cell_length_b 3.7211
_cell_length_c 7.4855
_cell_angle_alpha 90.00
_cell_angle_beta 109.50
_cell_angle_gamma 90.00
_symmetry_space_group_name_H-M 'P 1'
_symmetry_Int_Tables_number 1
loop_
_symmetry_equiv_pos_as_xyz
'x,y,z'
loop_
_atom_site_label
_atom_site_type_symbol
_atom_site_fract_x
_atom_site_fract_y
_atom_site_fract_z
Sb1 Sb 0.0000 0.0000 0.0000
Sb2 Sb 0.1226 0.5000 0.6701
Sb3 Sb 0.3211 0.5000 0.3814
Sb4 Sb 0.5000 0.5000 0.0000
Sb5 Sb 0.6226 0.0000 0.6701
Sb6 Sb 0.8211 0.0000 0.3814
Rh1 Rh 0.1112 0.0000 0.3760
Rh2 Rh 0.3195 0.0000 0.1287
Rh3 Rh 0.3507 0.0000 0.7505
Rh4 Rh 0.6112 0.5000 0.3760
Rh5 Rh 0.8195 0.5000 0.1287
Rh6 Rh 0.8507 0.5000 0.7505
```

The 12 most intense peaks (5° ≤ 2θ ≤ 70°), sorted by position:
(2 0 1), 2θ = 28.11°, d = 3.174 Å, I 33
(1 1 1), 2θ = 30.68°, d = 2.914 Å, I 100
(1 1 -2), 2θ = 34.05°, d = 2.633 Å, I 87
(0 0 3), 2θ = 38.27°, d = 2.352 Å, I 53
(3 1 -1), 2θ = 38.84°, d = 2.319 Å, I 79
(1 1 2), 2θ = 39.19°, d = 2.299 Å, I 55
(4 0 -1), 2θ = 40.51°, d = 2.227 Å, I 32
(3 1 -2), 2θ = 41.63°, d = 2.169 Å, I 65
(1 1 -3), 2θ = 43.73°, d = 2.070 Å, I 33
(3 1 1), 2θ = 45.68°, d = 1.986 Å, I 30
(0 2 0), 2θ = 48.95°, d = 1.861 Å, I 57
(3 1 2), 2θ = 54.07°, d = 1.696 Å, I 28